# Nd7Er2Mg2
Calculated powder diffractogram, copper Kα. Input: a structure optimized by DFT (GGA-PBE).
Kinematic intensities with the Lorentz-polarization factor, no thermal factor.

Atomic structure:
```
11
Lattice="-1.8988 5.6939 8.5808 1.8988 -5.6939 8.5808 1.8988 5.6939 -8.5808" Properties=species:S:1:pos:R:3 pbc="T T T"
Nd 0.0000 0.0000 0.0000
Nd 1.8988 -3.0498 5.7912
Nd 0.0000 0.0000 5.5223
Nd 0.0000 2.6442 2.7896
Nd 1.8988 3.0498 5.7912
Nd 0.0000 0.0000 11.6394
Nd 0.0000 8.7437 2.7896
Er 1.8988 3.4215 0.0000
Er 0.0000 2.2724 8.5808
Mg 1.8988 0.0000 2.7881
Mg 0.0000 5.6939 5.7927
```

Peak list (6 most intense, 10 to 80 degrees two-theta, sorted by position)
- 24.7°, I 17
- 28.2°, I 36
- 31.3°, I 29
- 31.4°, I 19
- 32.4°, I 100
- 56.4°, I 18